Simulated X-ray powder pattern
Compound: PuOF4
Radiation: Cu Kα, 1.54184 Å
Structure: a crystal structure in Alexandria, relaxed with PBE
No peak broadening, texture or thermal motion is included.

Atomic structure:
```
data_PuOF4
_chemical_formula_sum 'Pu1 O1 F4'
_space_group_name_H-M_alt 'P 1'
_space_group_IT_number 1
_space_group_name_Hall 'P 1'
_cell_length_a 5.4770
_cell_length_b 5.4770
_cell_length_c 5.4770
_cell_angle_alpha 98.01
_cell_angle_beta 98.01
_cell_angle_gamma 136.15
loop_
_atom_site_label
_atom_site_fract_x
_atom_site_fract_y
_atom_site_fract_z
Pu1 0.0000 0.0000 0.0000
O1 0.5000 0.5000 0.0000
F1 0.0861 0.7337 0.8198
F2 0.2663 0.0861 0.3524
F3 0.7337 0.9139 0.6476
F4 0.9139 0.2663 0.1802
```

Largest 8 diffraction maxima, in order of rising 2θ, 2θ from 10° to 80°:
2θ (°)  I/Imax
17.45  1000
24.78  390
25.05  878
35.53  410
39.67  312
43.80  174
50.97  226
57.48  191